For La3PrHo, a DFT-relaxed cell (GGA-PBE, Alexandria) gives the theoretical XRD peak list in this record (Cu Kα (λ = 1.5418 Å)).
Peak positions follow from Bragg's law for the DFT cell and can differ from measured ones.

Main lines, sorted by position (2θ = 15–90°):
d_spacing	two_theta	I/Imax
3.127	28.5	100
3.002	29.8	72
2.954	30.3	28
2.939	30.4	84
2.915	30.7	81
2.860	31.3	58
2.822	31.7	48
2.805	31.9	60
2.720	32.9	27
2.664	33.6	33
1.726	53.1	27
1.622	56.7	23

Cell and atoms:
```
data_La3PrHo
_chemical_formula_sum 'La6 Pr2 Ho2'
_cell_length_a 6.8003
_cell_length_b 6.8099
_cell_length_c 9.2571
_cell_angle_alpha 104.41
_cell_angle_beta 101.25
_cell_angle_gamma 113.21
_symmetry_space_group_name_H-M 'P -1'
_symmetry_Int_Tables_number 2
_symmetry_space_group_name_Hall '-P 1'
loop_
_atom_site_label
_atom_site_type_symbol
_atom_site_fract_x
_atom_site_fract_y
_atom_site_fract_z
_atom_site_occupancy
La1 La 0.0993 0.0204 0.1984 1
La2 La 0.2152 0.8349 0.5505 1
La3 La 0.3228 0.3995 0.8019 1
Pr1 Pr 0.5000 0.0000 0.0000 1
Pr2 Pr 0.5000 0.5000 0.5000 1
Ho1 Ho 0.1487 0.5089 0.1611 1
```